Entry 1:
La4Pm5Dy3: simulated powder X-ray diffraction pattern (λ = 1.5418 Å (Cu Kα)), based on a cell relaxed with PBE.

Main lines, in order of falling intensity (2θ from 15° to 90°):
29.51 deg, rel. 100; 31.70 deg, rel. 82; 32.91 deg, rel. 62; 30.99 deg, rel. 46; 30.51 deg, rel. 42; 42.96 deg, rel. 34; 28.19 deg, rel. 32; 28.83 deg, rel. 32

```
La4Pm5Dy3
1.0
8.264 -3.027 0.000
8.264 3.027 0.000
-4.312 0.000 8.492
La Pm Dy
4 5 3
direct
0.084 0.084 0.440
0.217 0.217 0.877
0.783 0.783 0.123
0.916 0.916 0.560
0.000 0.000 0.000
0.329 0.329 0.611
0.426 0.426 0.297
0.574 0.574 0.703
0.671 0.671 0.389
0.209 0.209 0.227
0.500 0.500 0.000
0.791 0.791 0.773
```



Entry 2:
Dy3YMg8: simulated powder X-ray diffraction pattern (λ = 1.5418 Å (Cu Kα)), based on a cell relaxed with PBE.

Main lines, in order of falling intensity (2θ from 15° to 90°):
32.36 deg, rel. 100; 29.44 deg, rel. 80; 34.82 deg, rel. 78; 54.10 deg, rel. 45; 16.87 deg, rel. 44; 19.18 deg, rel. 35; 35.38 deg, rel. 34; 24.90 deg, rel. 23

```
Dy3YMg8
1.0
6.068 0.000 0.000
-3.034 5.255 0.000
0.000 0.000 9.761
Dy Y Mg
3 1 8
direct
0.000 0.000 0.000
0.000 0.000 0.370
0.333 0.667 0.873
0.333 0.667 0.501
0.008 0.504 0.186
0.325 0.162 0.686
0.496 0.504 0.186
0.496 0.992 0.186
0.667 0.333 0.436
0.667 0.333 0.936
0.838 0.162 0.686
0.838 0.675 0.686
```



Entry 3:
La5Pr4In4: simulated powder X-ray diffraction pattern (λ = 1.5418 Å (Cu Kα)), based on a cell relaxed with PBE.

Main lines, in order of falling intensity (2θ from 15° to 90°):
30.34 deg, rel. 100; 33.79 deg, rel. 23; 35.84 deg, rel. 19; 58.31 deg, rel. 15; 50.08 deg, rel. 14; 33.49 deg, rel. 9; 61.03 deg, rel. 8; 55.13 deg, rel. 8

```
La5Pr4In4
1.0
-6.387 6.387 2.653
6.387 -6.387 2.653
6.387 6.387 -2.653
La Pr In
5 4 4
direct
0.000 0.000 0.000
0.308 0.405 0.713
0.405 0.692 0.097
0.595 0.308 0.903
0.692 0.595 0.287
0.093 0.618 0.711
0.382 0.093 0.475
0.618 0.907 0.525
0.907 0.382 0.289
0.112 0.232 0.344
0.232 0.888 0.120
0.768 0.112 0.880
0.888 0.768 0.656
```